Record 1
Li2MgRe: theoretical powder X-ray diffraction pattern (Cu Kα (weighted mean of Kα1 and Kα2)), based on the PBE geometry in Alexandria.

Structure:
a = 3.204 Å, b = 4.319 Å, c = 9.616 Å
α = 90.00°, β = 90.00°, γ = 90.00°
Space group Cmm2 (No. 35)
Symmetry-distinct sites (fractional):
Li  0.000  0.000  0.000
Li  0.000  0.500  0.269
Mg  0.000  0.500  0.734
Re  0.000  0.000  0.498

Principal peaks in the range 10° ≤ 2θ ≤ 90°, by angle:
2θ (°)  I_rel
18.45  88
27.83  39
34.86  37
36.13  84
37.41  29
39.73  100
41.83  22
42.92  28
45.18  51
52.06  25
60.06  17
69.04  19

Record 2
Li3Mg4Rh2: theoretical powder X-ray diffraction pattern (Cu Kα (weighted mean of Kα1 and Kα2)), based on the PBE geometry in Alexandria.

Structure:
a = 4.4989 Å, b = 4.4989 Å, c = 8.4590 Å
α = 90.00°, β = 90.00°, γ = 120.00°
Space group P-3m1 (No. 164)
Symmetry-distinct sites (fractional):
Li  0.0000  0.0000  0.0000
Li  0.3333  0.6667  0.4541
Mg  0.0000  0.0000  0.3163
Mg  0.3333  0.6667  0.1121
Rh  0.3333  0.6667  0.7832

Principal peaks in the range 10° ≤ 2θ ≤ 90°, by angle:
2θ (°)  I_rel
10.46  17
21.00  45
22.82  17
25.16  100
39.45  67
40.08  63
45.68  34
47.92  17
49.01  14
57.50  22
64.20  14
72.40  21